# Zr2Nb4P3N3
Computed PXRD pattern, a wavelength of 1.5418 Å. Input: the PBE geometry in OQMD.
Kinematic intensities with the Lorentz-polarization factor, no thermal factor.

Main lines, in order of falling intensity (2θ = 15–90°):
Position (°2θ), I/Imax
38.81, 100
31.02, 26
55.13, 18
31.95, 17
64.29, 15
69.57, 11
15.10, 11
44.04, 11
56.89, 10
30.47, 10

Atomic structure:
```
24
Lattice="4.983 -2.888 0.000 4.983 2.888 0.000 -3.307 0.000 11.734" Properties=species:S:1:pos:R:3 pbc="T T T"
Zr 2.474 2.394 7.094
Zr 2.531 2.394 10.507
Zr 4.128 -2.394 1.227
Zr 4.185 -2.394 4.640
Nb 2.538 0.512 1.114
Nb 2.492 0.426 4.747
Nb 0.884 -0.512 6.981
Nb 0.838 -0.426 10.614
Nb 5.821 0.426 1.120
Nb 5.775 0.512 4.753
Nb 4.168 -0.426 6.987
Nb 4.121 -0.512 10.620
P -0.729 0.544 8.794
P 0.925 -0.544 2.927
P 2.503 0.377 8.800
P 4.156 -0.377 2.933
P 5.735 0.544 8.806
P 7.388 -0.544 2.939
N 0.838 1.444 5.867
N 4.192 1.504 0.003
N 4.121 1.504 5.864
N 2.492 -1.444 0.000
N 2.538 -1.504 5.870
N 2.468 -1.504 11.731
```